Structure and computed X-ray powder pattern of Mn4Nb2Si5 (the GGA-PBE geometry in the Materials Project; λ = 1.5418 Å (Cu Kα)).
Kinematic intensities with the Lorentz-polarization factor, no thermal factor.

Largest 12 diffraction maxima, low angle first, 2θ = 10–80°:
d_spacing, I (rel.)
8.326, 19
4.417, 21
3.340, 22
2.315, 20
2.227, 40
2.218, 100
2.208, 22
2.124, 30
2.098, 40
2.081, 16
1.958, 16
1.478, 16

Atomic structure:
Cell: 9.445 9.445 9.445 Å, 134.58 56.34 148.47°
Sites, in units of the cell vectors:
Mn 0.064 0.750 0.814
Mn 0.147 0.121 0.269
Mn 0.353 0.621 0.974
Mn 0.436 0.250 0.686
Mn 0.564 0.750 0.314
Mn 0.647 0.379 0.026
Mn 0.853 0.879 0.731
Mn 0.936 0.250 0.186
Nb 0.063 0.750 0.313
Nb 0.437 0.750 0.687
Nb 0.563 0.250 0.313
Nb 0.937 0.250 0.687
Si 0.058 0.400 0.459
Si 0.205 0.810 0.015
Si 0.250 0.250 0.000
Si 0.295 0.310 0.606
Si 0.442 0.900 0.342
Si 0.558 0.100 0.658
Si 0.705 0.690 0.394
Si 0.750 0.750 0.000
Si 0.795 0.190 0.985
Si 0.942 0.600 0.541

Structure and computed X-ray powder pattern of NdMn2 (the GGA-PBE geometry in the Materials Project; λ = 1.5418 Å (Cu Kα)).
Kinematic intensities with the Lorentz-polarization factor, no thermal factor.

Largest 12 diffraction maxima, low angle first, 2θ = 10–80°:
d_spacing, I (rel.)
3.219, 22
2.756, 37
2.621, 65
2.497, 96
2.462, 53
2.339, 56
2.267, 66
2.255, 100
1.536, 23
1.474, 52
1.412, 45
1.311, 19

Atomic structure:
Cell: 5.251 5.251 8.847 Å, 90.00 90.00 116.69°
Sites, in units of the cell vectors:
Nd 0.164 0.836 0.561
Nd 0.164 0.836 0.939
Nd 0.836 0.164 0.061
Nd 0.836 0.164 0.439
Mn 0.161 0.357 0.750
Mn 0.354 0.646 0.250
Mn 0.357 0.161 0.250
Mn 0.500 0.500 0.000
Mn 0.500 0.500 0.500
Mn 0.643 0.839 0.750
Mn 0.646 0.354 0.750
Mn 0.839 0.643 0.250

Structure and computed X-ray powder pattern of NdMn2 (the GGA-PBE geometry in the Materials Project; λ = 1.5418 Å (Cu Kα)).
Kinematic intensities with the Lorentz-polarization factor, no thermal factor.

Largest 12 diffraction maxima, low angle first, 2θ = 10–80°:
d_spacing, I (rel.)
4.175, 10
3.155, 11
2.774, 43
2.412, 50
2.402, 10
2.311, 100
1.602, 8
1.522, 25
1.496, 16
1.387, 15
1.373, 17
1.202, 12

Atomic structure:
Cell: 5.548 5.548 8.368 Å, 90.00 90.00 120.00°
Sites, in units of the cell vectors:
Nd 0.333 0.667 0.058
Nd 0.333 0.667 0.442
Nd 0.667 0.333 0.558
Nd 0.667 0.333 0.942
Mn 0.000 0.000 0.000
Mn 0.000 0.000 0.500
Mn 0.162 0.324 0.750
Mn 0.162 0.838 0.750
Mn 0.324 0.162 0.250
Mn 0.676 0.838 0.750
Mn 0.838 0.162 0.250
Mn 0.838 0.676 0.250

Structure and computed X-ray powder pattern of Nd6Mn16Ni7 (the GGA-PBE geometry in the Materials Project; λ = 1.5418 Å (Cu Kα)).
Kinematic intensities with the Lorentz-polarization factor, no thermal factor.

Largest 12 diffraction maxima, low angle first, 2θ = 10–80°:
d_spacing, I (rel.)
3.575, 17
3.096, 22
2.841, 26
2.528, 32
2.384, 92
2.189, 100
2.064, 16
1.734, 15
1.513, 21
1.460, 26
1.430, 13
1.245, 15

Atomic structure:
Cell: 8.758 8.758 8.758 Å, 60.00 60.00 60.00°
Sites, in units of the cell vectors:
Nd 0.205 0.205 0.795
Nd 0.205 0.795 0.205
Nd 0.205 0.795 0.795
Nd 0.795 0.205 0.205
Nd 0.795 0.205 0.795
Nd 0.795 0.795 0.205
Mn 0.139 0.620 0.620
Mn 0.178 0.178 0.178
Mn 0.178 0.178 0.467
Mn 0.178 0.467 0.178
Mn 0.380 0.380 0.380
Mn 0.380 0.380 0.861
Mn 0.380 0.861 0.380
Mn 0.467 0.178 0.178
Mn 0.533 0.822 0.822
Mn 0.620 0.139 0.620
Mn 0.620 0.620 0.139
Mn 0.620 0.620 0.620
Mn 0.822 0.533 0.822
Mn 0.822 0.822 0.533
Mn 0.822 0.822 0.822
Mn 0.861 0.380 0.380
Ni 0.000 0.000 0.500
Ni 0.000 0.500 0.000
Ni 0.000 0.500 0.500
Ni 0.500 0.000 0.000
Ni 0.500 0.000 0.500
Ni 0.500 0.500 0.000
Ni 0.500 0.500 0.500

Structure and computed X-ray powder pattern of NdMnSi (the GGA-PBE geometry in the Materials Project; λ = 1.5418 Å (Cu Kα)).
Kinematic intensities with the Lorentz-polarization factor, no thermal factor.

Largest 12 diffraction maxima, low angle first, 2θ = 10–80°:
d_spacing, I (rel.)
3.517, 100
2.813, 37
2.733, 97
2.635, 56
2.508, 29
2.253, 73
1.989, 52
1.731, 28
1.700, 33
1.608, 39
1.558, 26
1.292, 27

Atomic structure:
Cell: 3.978 3.978 7.524 Å, 90.00 90.00 90.00°
Sites, in units of the cell vectors:
Nd 0.250 0.250 0.174
Nd 0.750 0.750 0.826
Mn 0.250 0.750 0.500
Mn 0.750 0.250 0.500
Si 0.250 0.250 0.684
Si 0.750 0.750 0.316

Structure and computed X-ray powder pattern of NdMn2Si2 (the GGA-PBE geometry in the Materials Project; λ = 1.5418 Å (Cu Kα)).
Kinematic intensities with the Lorentz-polarization factor, no thermal factor.

Largest 12 diffraction maxima, low angle first, 2θ = 10–80°:
d_spacing, I (rel.)
3.713, 46
2.622, 79
2.475, 100
1.985, 38
1.854, 23
1.751, 12
1.583, 40
1.483, 19
1.404, 12
1.355, 16
1.238, 12
1.221, 20

Atomic structure:
Cell: 5.945 5.945 5.945 Å, 140.99 140.99 56.36°
Sites, in units of the cell vectors:
Nd 0.000 0.000 0.000
Mn 0.250 0.750 0.500
Mn 0.750 0.250 0.500
Si 0.375 0.375 0.000
Si 0.625 0.625 0.000

Structure and computed X-ray powder pattern of MnNi (the GGA-PBE geometry in the Materials Project; λ = 1.5418 Å (Cu Kα)).
Kinematic intensities with the Lorentz-polarization factor, no thermal factor.

Largest 9 diffraction maxima, low angle first, 2θ = 10–80°:
d_spacing, I (rel.)
3.390, 1
2.669, 1
2.097, 100
2.058, 24
1.754, 14
1.695, 12
1.335, 10
1.308, 9
1.219, 7

Atomic structure:
Cell: 2.704 2.704 3.390 Å, 90.00 90.00 99.13°
Sites, in units of the cell vectors:
Mn 0.000 0.000 0.000
Ni 0.500 0.500 0.500

Structure and computed X-ray powder pattern of MnNi (the GGA-PBE geometry in the Materials Project; λ = 1.5418 Å (Cu Kα)).
Kinematic intensities with the Lorentz-polarization factor, no thermal factor.

Largest 3 diffraction maxima, low angle first, 2θ = 10–80°:
d_spacing, I (rel.)
2.916, 1
2.062, 100
1.458, 15

Atomic structure:
Cell: 2.916 2.916 2.916 Å, 90.00 90.00 90.00°
Sites, in units of the cell vectors:
Mn 0.000 0.000 0.000
Ni 0.500 0.500 0.500

Structure and computed X-ray powder pattern of MnNi (the GGA-PBE geometry in the Materials Project; λ = 1.5418 Å (Cu Kα)).
Kinematic intensities with the Lorentz-polarization factor, no thermal factor.

Largest 5 diffraction maxima, low angle first, 2θ = 10–80°:
d_spacing, I (rel.)
2.949, 1
2.085, 53
2.047, 100
1.474, 16
1.422, 7

Atomic structure:
Cell: 2.949 2.949 2.845 Å, 90.00 90.00 90.00°
Sites, in units of the cell vectors:
Mn 0.000 0.000 0.000
Ni 0.500 0.500 0.500

Structure and computed X-ray powder pattern of MnNi (the GGA-PBE geometry in the Materials Project; λ = 1.5418 Å (Cu Kα)).
Kinematic intensities with the Lorentz-polarization factor, no thermal factor.

Largest 7 diffraction maxima, low angle first, 2θ = 10–80°:
d_spacing, I (rel.)
4.107, 1
2.113, 1
2.053, 35
2.026, 100
1.760, 62
1.251, 18
1.238, 17

Atomic structure:
Cell: 4.348 4.348 4.348 Å, 33.09 33.09 33.09°
Sites, in units of the cell vectors:
Mn 0.000 0.000 0.000
Ni 0.500 0.500 0.500

Structure and computed X-ray powder pattern of MnNiP (the GGA-PBE geometry in the Materials Project; λ = 1.5418 Å (Cu Kα)).
Kinematic intensities with the Lorentz-polarization factor, no thermal factor.

Largest 12 diffraction maxima, low angle first, 2θ = 10–80°:
d_spacing, I (rel.)
5.070, 4
2.927, 5
2.236, 100
2.046, 52
1.916, 40
1.732, 22
1.690, 21
1.677, 17
1.406, 5
1.303, 8
1.285, 19
1.210, 13

Atomic structure:
Cell: 5.854 5.854 3.464 Å, 90.00 90.00 120.00°
Sites, in units of the cell vectors:
Mn 0.000 0.600 0.000
Mn 0.400 0.400 0.000
Mn 0.600 0.000 0.000
Ni 0.000 0.258 0.500
Ni 0.258 0.000 0.500
Ni 0.742 0.742 0.500
P 0.000 0.000 0.000
P 0.333 0.667 0.500
P 0.667 0.333 0.500

- What is the formula in the eighth record?
  MnNi

- Which formula does entry 10 have?
  MnNi